This entry pairs a crystal structure of RbGeAu2Se4 with its simulated X-ray powder pattern. Radiation: Cu Kα. Structure: a structure optimized by DFT (PBE).
No peak broadening, texture or thermal motion is included.

Structure:
```
8
Lattice="-3.450 3.794 4.439 3.450 -3.794 4.439 3.450 3.794 -4.439" Properties=species:S:1:pos:R:3 pbc="T T T"
Rb 0.000 0.000 0.000
Ge 0.000 0.000 4.439
Au 3.450 0.000 3.012
Au 0.000 3.794 1.427
Se 2.064 2.387 -1.371
Se 1.386 -1.407 5.810
Se 1.386 1.407 3.069
Se 2.064 5.201 1.371
```

Peak list (10 most intense, 2θ = 10–80°, by angle)
- d = 5.769 Å, 2θ = 15.36°, rel. 76.2
- d = 5.448 Å, 2θ = 16.27°, rel. 24.5
- d = 5.105 Å, 2θ = 17.37°, rel. 27.7
- d = 3.350 Å, 2θ = 26.61°, rel. 100.0
- d = 3.114 Å, 2θ = 28.67°, rel. 48.6
- d = 2.757 Å, 2θ = 32.47°, rel. 48.6
- d = 2.552 Å, 2θ = 35.16°, rel. 76.9
- d = 2.211 Å, 2θ = 40.82°, rel. 42.3
- d = 2.036 Å, 2θ = 44.51°, rel. 26.4
- d = 1.680 Å, 2θ = 54.65°, rel. 33.0

***

This entry pairs a crystal structure of CsKTlCl4 with its simulated X-ray powder pattern. Radiation: Cu Kα. Structure: a structure optimized by DFT (PBE).
No peak broadening, texture or thermal motion is included.

Structure:
```
14
Lattice="3.869 -8.526 0.000 3.869 8.526 0.000 0.000 0.000 7.787" Properties=species:S:1:pos:R:3 pbc="T T T"
Cs 3.869 6.726 5.840
Cs 3.869 -6.726 1.947
K 3.869 1.854 5.840
K 3.869 -1.854 1.947
Tl 3.869 4.179 1.947
Tl 3.869 -4.179 5.840
Cl 1.934 4.263 0.000
Cl 1.934 4.263 3.893
Cl 3.869 7.001 1.947
Cl 3.869 1.284 1.947
Cl 1.934 -4.263 0.000
Cl 1.934 -4.263 3.893
Cl 3.869 -1.284 5.840
Cl 3.869 -7.001 5.840
```

Peak list (10 most intense, 2θ = 10–80°, by angle)
- d = 8.526 Å, 2θ = 10.38°, rel. 69.7
- d = 5.225 Å, 2θ = 16.97°, rel. 41.1
- d = 3.948 Å, 2θ = 22.52°, rel. 100.0
- d = 3.893 Å, 2θ = 22.84°, rel. 43.1
- d = 3.869 Å, 2θ = 22.99°, rel. 42.4
- d = 2.897 Å, 2θ = 30.87°, rel. 42.1
- d = 2.842 Å, 2θ = 31.48°, rel. 28.1
- d = 2.744 Å, 2θ = 32.63°, rel. 67.0
- d = 2.293 Å, 2θ = 39.29°, rel. 28.1
- d = 1.974 Å, 2θ = 45.97°, rel. 37.3

***

This entry pairs a crystal structure of LiPr2Be3Cu12 with its simulated X-ray powder pattern. Radiation: Cu Kα. Structure: a structure optimized by DFT (PBE).
No peak broadening, texture or thermal motion is included.

Structure:
```
18
Lattice="4.051 2.339 5.023 -4.051 2.339 5.023 0.000 -4.678 5.023" Properties=species:S:1:pos:R:3 pbc="T T T"
Li 0.000 0.000 0.000
Pr 0.000 0.000 5.736
Pr 0.000 0.000 9.333
Be -4.051 0.000 7.534
Be -2.026 1.169 2.511
Be 2.026 1.169 2.511
Cu 0.000 -2.463 4.545
Cu -2.133 1.231 4.545
Cu -2.289 -1.322 7.842
Cu 0.000 -2.643 7.227
Cu -2.289 1.322 7.227
Cu -2.133 -1.231 10.524
Cu 2.133 1.231 4.545
Cu 2.289 -1.322 7.842
Cu 0.000 2.643 7.842
Cu 2.289 1.322 7.227
Cu 2.133 -1.231 10.524
Cu 0.000 2.463 10.524
```

Peak list (10 most intense, 2θ = 10–80°, by angle)
- d = 3.417 Å, 2θ = 26.08°, rel. 48.1
- d = 3.319 Å, 2θ = 26.86°, rel. 17.1
- d = 3.180 Å, 2θ = 28.06°, rel. 26.7
- d = 3.153 Å, 2θ = 28.30°, rel. 22.8
- d = 2.612 Å, 2θ = 34.33°, rel. 43.3
- d = 2.567 Å, 2θ = 34.95°, rel. 83.3
- d = 2.286 Å, 2θ = 39.42°, rel. 78.8
- d = 2.026 Å, 2θ = 44.74°, rel. 100.0
- d = 1.835 Å, 2θ = 49.69°, rel. 31.4
- d = 1.590 Å, 2θ = 58.00°, rel. 16.3

***

This entry pairs a crystal structure of NdTe2O8 with its simulated X-ray powder pattern. Radiation: Cu Kα. Structure: a structure optimized by DFT (PBE).
No peak broadening, texture or thermal motion is included.

Structure:
```
11
Lattice="4.824 -3.128 0.000 4.824 3.128 0.000 -0.965 0.000 5.451" Properties=species:S:1:pos:R:3 pbc="T T T"
Nd 0.000 0.000 0.000
Te 2.146 0.000 2.923
Te 6.538 0.000 2.528
O 2.778 1.852 3.644
O 1.031 0.000 4.396
O 5.906 1.852 1.807
O 3.673 0.000 1.799
O 5.010 0.000 3.652
O 2.778 -1.852 3.644
O 7.653 0.000 1.055
O 5.906 -1.852 1.807
```

Peak list (10 most intense, 2θ = 10–80°, by angle)
- d = 5.451 Å, 2θ = 16.26°, rel. 27.5
- d = 3.937 Å, 2θ = 22.58°, rel. 100.0
- d = 3.603 Å, 2θ = 24.71°, rel. 66.8
- d = 3.307 Å, 2θ = 26.96°, rel. 47.9
- d = 3.128 Å, 2θ = 28.53°, rel. 59.0
- d = 2.449 Å, 2θ = 36.69°, rel. 27.9
- d = 2.273 Å, 2θ = 39.66°, rel. 53.8
- d = 2.055 Å, 2θ = 44.07°, rel. 27.8
- d = 1.667 Å, 2θ = 55.11°, rel. 27.5
- d = 1.564 Å, 2θ = 59.07°, rel. 27.0

***

This entry pairs a crystal structure of La3Ag2Hg3 with its simulated X-ray powder pattern. Radiation: Cu Kα. Structure: a structure optimized by DFT (PBE).
No peak broadening, texture or thermal motion is included.

Structure:
```
16
Lattice="2.439 -5.546 0.000 2.439 5.546 0.000 0.000 0.000 16.183" Properties=species:S:1:pos:R:3 pbc="T T T"
La 2.439 4.588 9.729
La 2.439 4.588 14.546
La 2.439 1.774 12.137
La 2.439 -1.774 4.046
La 2.439 -4.588 1.637
La 2.439 -4.588 6.454
Ag 2.439 3.202 1.732
Ag 2.439 3.202 6.359
Ag 2.439 -3.202 9.824
Ag 2.439 -3.202 14.451
Hg 2.439 1.409 4.046
Hg 2.439 1.267 8.854
Hg 2.439 1.267 15.421
Hg 2.439 -1.267 0.763
Hg 2.439 -1.267 7.329
Hg 2.439 -1.409 12.137
```

Peak list (10 most intense, 2θ = 10–80°, by angle)
- d = 2.998 Å, 2θ = 29.80°, rel. 77.6
- d = 2.773 Å, 2θ = 32.29°, rel. 27.5
- d = 2.697 Å, 2θ = 33.22°, rel. 27.1
- d = 2.586 Å, 2θ = 34.69°, rel. 100.0
- d = 2.439 Å, 2θ = 36.85°, rel. 52.3
- d = 2.382 Å, 2θ = 37.77°, rel. 33.7
- d = 1.809 Å, 2θ = 50.45°, rel. 20.1
- d = 1.521 Å, 2θ = 60.89°, rel. 21.4
- d = 1.451 Å, 2θ = 64.18°, rel. 17.1
- d = 1.435 Å, 2θ = 64.98°, rel. 25.0

***

This entry pairs a crystal structure of Zn7Si5 with its simulated X-ray powder pattern. Radiation: Cu Kα. Structure: a structure optimized by DFT (PBE).
No peak broadening, texture or thermal motion is included.

Structure:
```
12
Lattice="-3.695 3.695 3.705 3.695 -3.695 3.705 3.695 3.695 -3.705" Properties=species:S:1:pos:R:3 pbc="T T T"
Zn 0.000 0.000 0.000
Zn 3.695 0.000 0.034
Zn 1.918 0.000 1.872
Zn 5.472 0.000 1.872
Zn 0.000 3.695 0.034
Zn 0.000 1.918 1.872
Zn 0.000 5.472 1.872
Si 2.117 2.117 0.268
Si 1.578 -1.578 3.973
Si 0.000 0.000 5.039
Si -1.578 1.578 3.973
Si 1.578 1.578 3.973
```

Peak list (10 most intense, 2θ = 10–80°, by angle)
- d = 5.232 Å, 2θ = 16.95°, rel. 39.0
- d = 3.696 Å, 2θ = 24.08°, rel. 15.5
- d = 3.018 Å, 2θ = 29.59°, rel. 65.3
- d = 2.339 Å, 2θ = 38.48°, rel. 29.1
- d = 2.135 Å, 2θ = 42.33°, rel. 100.0
- d = 1.977 Å, 2θ = 45.90°, rel. 39.2
- d = 1.852 Å, 2θ = 49.19°, rel. 16.1
- d = 1.847 Å, 2θ = 49.33°, rel. 34.4
- d = 1.450 Å, 2θ = 64.24°, rel. 10.6
- d = 1.308 Å, 2θ = 72.22°, rel. 16.7